Diffraction record for CaH12I2O12. The powder diffraction line list is theoretical, not measured: it uses a cell relaxed with GGA-PBE and CuKα.
Neutral-atom scattering factors, no anomalous dispersion.

Structural model:
```
54
Lattice="0.0000 11.5724 3.1879 7.5211 0.0000 3.1879 7.5211 11.5724 0.0000" Properties=species:S:1:pos:R:3 pbc="T T T"
Ca 0.0000 0.0000 0.0000
Ca 3.7606 5.7862 1.5940
H 7.8862 8.8253 1.3276
H 6.7460 6.4141 1.6768
H 8.6685 5.1971 3.3331
H 12.0568 12.2003 3.2708
H 9.3836 11.3195 2.4008
H 13.2853 13.8643 3.9299
H 5.5175 8.0781 2.3359
H 7.1560 14.3195 1.3276
H 10.9166 14.6115 2.9216
H 9.5247 15.0667 2.3359
H 8.5116 12.5439 2.7483
H 0.7751 5.1583 1.6768
H 6.5306 10.6009 2.7483
H 5.6586 11.8253 2.4008
H 5.6231 6.0391 3.9948
H 4.1256 8.5333 2.9216
H 12.2722 16.3871 4.3423
H 10.1343 10.9833 4.9270
H 9.4192 17.1057 3.9948
H 2.9855 10.9445 3.2708
H 10.2912 18.3301 4.3423
H 6.3737 17.9477 3.3331
H 9.2780 20.8529 3.9299
H 4.9079 12.1615 4.9270
I 11.5295 8.9986 2.7708
I 7.7689 8.3600 4.3647
I 3.5127 14.1462 2.7708
I 7.2733 14.7848 4.3647
O 10.9132 7.3410 2.8267
O 12.5643 11.6771 2.6057
O 14.2637 13.8149 3.7506
O 8.9682 12.1127 1.9850
O 7.2854 7.9255 2.6199
O 2.9820 3.5437 2.1566
O 10.0724 9.9206 3.5398
O 8.8037 5.6815 4.1996
O 4.5391 8.0287 2.1566
O 6.0741 11.0321 1.9850
O 5.2076 5.2459 3.5789
O 11.5173 13.7117 4.2139
O 7.7568 15.2193 2.6199
O 7.1527 10.0176 4.4207
O 9.8346 17.8989 3.5789
O 13.8330 19.0104 5.1338
O 7.8896 13.1272 4.4207
O 2.4779 11.4677 2.6057
O 4.9698 13.2242 3.5398
O 11.0460 21.0055 4.2139
O 4.1290 15.8038 2.8267
O 8.7304 15.7068 5.1338
O 8.2996 20.9023 3.7506
O 6.2385 17.4633 4.1996
```

Main lines, low angle first (10° ≤ 2θ ≤ 90°):
d [Å], 2θ/deg, I/Imax
5.786, 15.31, 54
5.690, 15.57, 62
4.672, 19.00, 100
3.885, 22.89, 28
3.761, 23.66, 44
3.510, 25.38, 58
3.153, 28.30, 44
2.935, 30.45, 36
2.618, 34.26, 50
1.867, 48.78, 28